[1]
This entry pairs a crystal structure of Co2CuPt with its computed powder XRD pattern. Radiation: Cu Kα. Structure: DFT lattice parameters and positions (GGA-PBE).
No peak broadening, texture or thermal motion is included.

Atomic structure:
```
data_Co2CuPt
_space_group_name_H-M_alt 'P 4/m m m'
_space_group_IT_number 123
_space_group_name_Hall '-P 4 2'
_cell_length_a 2.6409
_cell_length_b 2.6409
_cell_length_c 7.2095
_cell_angle_alpha 90.00
_cell_angle_beta 90.00
_cell_angle_gamma 90.00
loop_
_atom_site_label
_atom_site_fract_x
_atom_site_fract_y
_atom_site_fract_z
_atom_site_occupancy
Co1 0.0000 0.0000 0.2380 1
Cu1 0.5000 0.5000 0.0000 1
Pt1 0.5000 0.5000 0.5000 1
```

The 12 most intense peaks (2θ = 10–90°), sorted by position:
12.3 deg, I 425, (0 0 1)
24.7 deg, I 131, (0 0 2)
33.9 deg, I 117, (1 0 0)
36.2 deg, I 183, (1 0 1)
42.4 deg, I 1000, (1 0 2)
48.8 deg, I 333, (1 1 0)
50.6 deg, I 144, (0 0 4)
55.4 deg, I 63, (1 1 2)
71.4 deg, I 102, (2 0 0)
72.9 deg, I 187, (1 1 4)
86.8 deg, I 243, (2 1 2)
89.6 deg, I 108, (1 0 6)

***

[2]
This entry pairs a crystal structure of CoCu2Pt4 with its computed powder XRD pattern. Radiation: Cu Kα. Structure: DFT lattice parameters and positions (GGA-PBE).
No peak broadening, texture or thermal motion is included.

Atomic structure:
```
data_CoCu2Pt4
_space_group_name_H-M_alt 'C m m m'
_space_group_IT_number 65
_space_group_name_Hall '-C 2 2'
_cell_length_a 3.9744
_cell_length_b 18.4298
_cell_length_c 2.7089
_cell_angle_alpha 90.00
_cell_angle_beta 90.00
_cell_angle_gamma 90.00
loop_
_atom_site_label
_atom_site_fract_x
_atom_site_fract_y
_atom_site_fract_z
_atom_site_occupancy
Co1 0.0000 0.0000 0.0000 1
Cu1 0.0000 0.2862 0.5000 1
Pt1 0.0000 0.1519 0.0000 1
Pt2 0.0000 0.4285 0.5000 1
```

The 12 most intense peaks (2θ = 10–90°), sorted by position:
19.3 deg, I 207, (0 4 0)
26.7 deg, I 312, (1 3 0)
40.6 deg, I 1000, (1 1 1)
41.1 deg, I 972, (1 7 0)
43.0 deg, I 187, (1 3 1)
44.6 deg, I 511, (0 6 1)
45.7 deg, I 384, (2 0 0)
52.1 deg, I 153, (0 8 1)
65.7 deg, I 323, (2 6 1)
71.7 deg, I 194, (0 14 0)
80.1 deg, I 212, (1 13 1)
84.0 deg, I 249, (1 7 2)

***

[3]
This entry pairs a crystal structure of CoCu2Pt6 with its computed powder XRD pattern. Radiation: Cu Kα. Structure: DFT lattice parameters and positions (GGA-PBE).
No peak broadening, texture or thermal motion is included.

Atomic structure:
```
data_CoCu2Pt6
_space_group_name_H-M_alt 'C 1 m 1'
_space_group_IT_number 8
_cell_length_a 13.3969
_cell_length_b 3.8050
_cell_length_c 5.3625
_cell_angle_alpha 90.00
_cell_angle_beta 95.45
_cell_angle_gamma 90.00
loop_
_space_group_symop_operation_xyz
'x,y,z'
'x,-y,z'
'x+1/2,y+1/2,z'
'x+1/2,-y+1/2,z'
loop_
_atom_site_label
_atom_site_fract_x
_atom_site_fract_y
_atom_site_fract_z
_atom_site_occupancy
Co1 0.0000 0.0000 0.0000 1
Cu1 0.1976 0.0000 0.0502 1
Cu2 0.2878 0.5000 0.3299 1
Pt1 0.0889 0.5000 0.7765 1
Pt2 0.0927 0.5000 0.2743 1
Pt3 0.2034 0.0000 0.5586 1
Pt4 0.3144 0.5000 0.8294 1
Pt5 0.3933 0.0000 0.1633 1
Pt6 0.4742 0.5000 0.5106 1
```

The 12 most intense peaks (2θ = 10–90°), sorted by position:
30.0 deg, I 140, (1 1 1)
30.2 deg, I 108, (4 0 -1)
36.2 deg, I 121, (3 1 1)
41.3 deg, I 1000, (5 1 0)
45.5 deg, I 197, (4 0 2)
47.8 deg, I 182, (0 2 0)
50.9 deg, I 89, (6 0 -2)
68.1 deg, I 118, (4 2 2)
70.6 deg, I 78, (10 0 0)
81.2 deg, I 123, (9 1 2)
84.6 deg, I 120, (5 3 0)
89.8 deg, I 87, (10 2 0)

***

[4]
This entry pairs a crystal structure of Co2CuPt with its computed powder XRD pattern. Radiation: Cu Kα. Structure: DFT lattice parameters and positions (GGA-PBE).
No peak broadening, texture or thermal motion is included.

Atomic structure:
```
data_Co2CuPt
_space_group_name_H-M_alt 'P m m m'
_space_group_IT_number 47
_cell_length_a 2.6337
_cell_length_b 3.7105
_cell_length_c 5.1420
_cell_angle_alpha 90.00
_cell_angle_beta 90.00
_cell_angle_gamma 90.00
loop_
_space_group_symop_operation_xyz
'x,y,z'
'-x,-y,-z'
'-x,-y,z'
'x,y,-z'
'x,-y,-z'
'-x,y,z'
'-x,y,-z'
'x,-y,z'
loop_
_atom_site_label
_atom_site_fract_x
_atom_site_fract_y
_atom_site_fract_z
_atom_site_occupancy
Co1 0.0000 0.0000 0.2339 1
Cu1 0.5000 0.5000 0.0000 1
Pt1 0.5000 0.5000 0.5000 1
```

The 12 most intense peaks (2θ = 10–90°), sorted by position:
17.2 deg, I 369, (0 0 1)
24.0 deg, I 266, (0 1 0)
29.7 deg, I 311, (0 1 1)
38.4 deg, I 159, (1 0 1)
42.1 deg, I 1000, (1 1 0)
42.8 deg, I 939, (0 1 2)
45.8 deg, I 133, (1 1 1)
49.1 deg, I 316, (0 2 0)
49.5 deg, I 607, (1 0 2)
72.3 deg, I 376, (1 2 2)
87.2 deg, I 231, (2 1 2)
88.7 deg, I 216, (1 1 4)

***

[5]
This entry pairs a crystal structure of CoCu2Pt with its computed powder XRD pattern. Radiation: Cu Kα. Structure: DFT lattice parameters and positions (GGA-PBE).
No peak broadening, texture or thermal motion is included.

Atomic structure:
```
data_CoCu2Pt
_space_group_name_H-M_alt 'P 4 m m'
_space_group_IT_number 99
_cell_length_a 2.6852
_cell_length_b 2.6852
_cell_length_c 7.0948
_cell_angle_alpha 90.00
_cell_angle_beta 90.00
_cell_angle_gamma 90.00
loop_
_space_group_symop_operation_xyz
'x,y,z'
'-y,x,z'
'-x,-y,z'
'y,-x,z'
'-x,y,z'
'y,x,z'
'x,-y,z'
'-y,-x,z'
loop_
_atom_site_label
_atom_site_fract_x
_atom_site_fract_y
_atom_site_fract_z
_atom_site_occupancy
Co1 0.0000 0.0000 0.0000 1
Cu1 0.0000 0.0000 0.4760 1
Cu2 0.5000 0.5000 0.2380 1
Pt1 0.5000 0.5000 0.7468 1
```

The 12 most intense peaks (2θ = 10–90°), sorted by position:
12.5 deg, I 387, (0 0 1)
25.1 deg, I 109, (0 0 2)
33.4 deg, I 104, (1 0 0)
35.8 deg, I 184, (1 0 1)
42.2 deg, I 1000, (1 0 2)
47.9 deg, I 347, (1 1 0)
51.5 deg, I 168, (0 0 4)
62.8 deg, I 93, (1 1 3)
70.1 deg, I 107, (2 0 0)
73.0 deg, I 181, (1 1 4)
75.8 deg, I 60, (1 0 5)
85.3 deg, I 256, (2 1 2)

***

[6]
This entry pairs a crystal structure of CoCuRe with its computed powder XRD pattern. Radiation: Cu Kα. Structure: DFT lattice parameters and positions (GGA-PBE).
No peak broadening, texture or thermal motion is included.

Atomic structure:
```
data_CoCuRe
_space_group_name_H-M_alt 'I 4 m m'
_space_group_IT_number 107
_space_group_name_Hall 'I 4 -2'
_cell_length_a 2.6560
_cell_length_b 2.6560
_cell_length_c 10.6765
_cell_angle_alpha 90.00
_cell_angle_beta 90.00
_cell_angle_gamma 90.00
loop_
_atom_site_label
_atom_site_fract_x
_atom_site_fract_y
_atom_site_fract_z
_atom_site_occupancy
Co1 0.0000 0.0000 0.0000 1
Cu1 0.0000 0.0000 0.3377 1
Re1 0.0000 0.0000 0.6569 1
```

The 12 most intense peaks (2θ = 10–90°), sorted by position:
16.6 deg, I 345, (0 0 2)
33.6 deg, I 83, (0 0 4)
34.8 deg, I 257, (1 0 1)
42.5 deg, I 1000, (1 0 3)
48.5 deg, I 343, (1 1 0)
51.3 deg, I 137, (0 0 6)
51.6 deg, I 81, (1 1 2)
55.2 deg, I 67, (1 0 5)
60.3 deg, I 67, (1 1 4)
71.0 deg, I 106, (2 0 0)
73.3 deg, I 183, (1 1 6)
86.4 deg, I 250, (2 1 3)

***

[7]
This entry pairs a crystal structure of Co2CuRe with its computed powder XRD pattern. Radiation: Cu Kα. Structure: DFT lattice parameters and positions (GGA-PBE).
No peak broadening, texture or thermal motion is included.

Atomic structure:
```
data_Co2CuRe
_space_group_name_H-M_alt 'C m m m'
_space_group_IT_number 65
_space_group_name_Hall '-C 2 2'
_cell_length_a 5.2438
_cell_length_b 7.0497
_cell_length_c 2.5991
_cell_angle_alpha 90.00
_cell_angle_beta 90.00
_cell_angle_gamma 90.00
loop_
_atom_site_label
_atom_site_fract_x
_atom_site_fract_y
_atom_site_fract_z
_atom_site_occupancy
Co1 0.2500 0.2500 0.0000 1
Cu1 0.0000 0.0000 0.5000 1
Re1 0.0000 0.5000 0.5000 1
```

The 12 most intense peaks (2θ = 10–90°), sorted by position:
21.1 deg, I 569, (1 1 0)
25.3 deg, I 232, (0 2 0)
34.2 deg, I 109, (2 0 0)
40.8 deg, I 217, (1 1 1)
43.0 deg, I 1000, (2 2 0)
43.2 deg, I 983, (0 2 1)
49.4 deg, I 661, (2 0 1)
51.9 deg, I 284, (0 4 0)
56.3 deg, I 113, (2 2 1)
74.4 deg, I 372, (2 4 1)
87.9 deg, I 273, (4 2 1)
88.4 deg, I 241, (2 2 2)

***

[8]
This entry pairs a crystal structure of TaCoCuRh with its computed powder XRD pattern. Radiation: Cu Kα. Structure: DFT lattice parameters and positions (GGA-PBE).
No peak broadening, texture or thermal motion is included.

Atomic structure:
```
data_TaCoCuRh
_space_group_name_H-M_alt 'F -4 3 m'
_space_group_IT_number 216
_space_group_name_Hall 'F -4 2 3'
_cell_length_a 6.0235
_cell_length_b 6.0235
_cell_length_c 6.0235
_cell_angle_alpha 90.00
_cell_angle_beta 90.00
_cell_angle_gamma 90.00
loop_
_atom_site_label
_atom_site_fract_x
_atom_site_fract_y
_atom_site_fract_z
_atom_site_occupancy
Ta1 0.0000 0.0000 0.0000 1
Co1 0.2500 0.2500 0.7500 1
Cu1 0.0000 0.0000 0.5000 1
Rh1 0.2500 0.2500 0.2500 1
```

The 10 most intense peaks (2θ = 10–90°), sorted by position:
25.6 deg, I 201, (1 1 1)
29.7 deg, I 47, (2 0 0)
42.4 deg, I 1000, (2 2 0)
50.2 deg, I 103, (3 1 1)
52.6 deg, I 14, (2 2 2)
61.6 deg, I 162, (4 0 0)
67.8 deg, I 44, (3 3 1)
69.8 deg, I 19, (4 2 0)
77.7 deg, I 323, (4 2 2)
83.4 deg, I 36, (5 1 1)

***

Q: Which formula does entry 7 have?
A: Co2CuRe

***

Copy entry 5 word for word.
This entry pairs a crystal structure of CoCu2Pt with its computed powder XRD pattern. Radiation: Cu Kα. Structure: DFT lattice parameters and positions (GGA-PBE).
No peak broadening, texture or thermal motion is included.

Atomic structure:
```
data_CoCu2Pt
_space_group_name_H-M_alt 'P 4 m m'
_space_group_IT_number 99
_cell_length_a 2.6852
_cell_length_b 2.6852
_cell_length_c 7.0948
_cell_angle_alpha 90.00
_cell_angle_beta 90.00
_cell_angle_gamma 90.00
loop_
_space_group_symop_operation_xyz
'x,y,z'
'-y,x,z'
'-x,-y,z'
'y,-x,z'
'-x,y,z'
'y,x,z'
'x,-y,z'
'-y,-x,z'
loop_
_atom_site_label
_atom_site_fract_x
_atom_site_fract_y
_atom_site_fract_z
_atom_site_occupancy
Co1 0.0000 0.0000 0.0000 1
Cu1 0.0000 0.0000 0.4760 1
Cu2 0.5000 0.5000 0.2380 1
Pt1 0.5000 0.5000 0.7468 1
```

The 12 most intense peaks (2θ = 10–90°), sorted by position:
12.5 deg, I 387, (0 0 1)
25.1 deg, I 109, (0 0 2)
33.4 deg, I 104, (1 0 0)
35.8 deg, I 184, (1 0 1)
42.2 deg, I 1000, (1 0 2)
47.9 deg, I 347, (1 1 0)
51.5 deg, I 168, (0 0 4)
62.8 deg, I 93, (1 1 3)
70.1 deg, I 107, (2 0 0)
73.0 deg, I 181, (1 1 4)
75.8 deg, I 60, (1 0 5)
85.3 deg, I 256, (2 1 2)